Theoretical powder diffractogram of CePm4Nd5 for λ = 1.5418 Å (Cu Kα), from a structure optimized by DFT (GGA-PBE).
Neutral-atom scattering factors, no anomalous dispersion.

Main lines, by angle (2θ = 5–70°):
2theta, I_rel
29.81, 29
30.14, 33
31.27, 100
31.74, 93
33.12, 39
35.49, 46
49.32, 26
61.10, 21

Structure:
```
data_CePm4Nd5
_chemical_formula_sum 'Ce2 Pm8 Nd10'
_cell_length_a 18.331
_cell_length_b 5.059
_cell_length_c 8.877
_cell_angle_alpha 90.00
_cell_angle_beta 117.70
_cell_angle_gamma 90.00
_symmetry_space_group_name_H-M 'C 1 2/m 1'
_symmetry_Int_Tables_number 12
loop_
_symmetry_equiv_pos_as_xyz
'x,y,z'
'-x,-y,-z'
'-x,y,-z'
'x,-y,z'
'x+1/2,y+1/2,z'
'-x+1/2,-y+1/2,-z'
'-x+1/2,y+1/2,-z'
'x+1/2,-y+1/2,z'
loop_
_atom_site_label
_atom_site_fract_x
_atom_site_fract_y
_atom_site_fract_z
Ce1 0.000 0.000 0.000
Pm1 0.033 0.500 0.786
Pm2 0.177 0.000 0.931
Nd1 0.000 0.000 0.500
Nd2 0.164 0.500 0.216
Nd3 0.170 0.500 0.615
```